For Sc6CoTc, a crystal structure in Alexandria, relaxed with GGA-PBE gives the theoretical X-ray powder pattern in this record (Cu Ka).
Neutral-atom scattering factors, no anomalous dispersion.

Largest 10 diffraction maxima, by angle, 2θ = 15–90°:
two_theta	intensity
17.42	95
34.48	100
35.27	52
36.67	62
44.73	78
47.25	22
54.05	39
58.21	21
58.64	18
75.43	20

Structure:
```
Sc6CoTc
1.0
5.877 0.000 0.000
-2.939 5.090 0.000
0.000 0.000 5.593
Sc Co Tc
6 1 1
Direct
0.000 0.368 0.245
0.000 0.632 0.755
0.368 0.000 0.245
0.368 0.368 0.755
0.632 0.000 0.755
0.632 0.632 0.245
0.000 0.000 0.000
0.000 0.000 0.500
```